Np2U2S7: simulated powder diffraction line list (a wavelength of 1.5418 Å), based on a DFT-relaxed cell (PBE, OQMD).
Neutral-atom scattering factors, no anomalous dispersion.

Structural model:
```
data_Np2U2S7
_chemical_formula_sum 'Np4 U4 S14'
_cell_length_a 3.892
_cell_length_b 13.850
_cell_length_c 8.501
_cell_angle_alpha 90.00
_cell_angle_beta 90.00
_cell_angle_gamma 90.00
_space_group_name_H-M_alt 'I m m 2'
_space_group_IT_number 44
loop_
_space_group_symop_operation_xyz
'x,y,z'
'-x,-y,z'
'-x,y,z'
'x,-y,z'
'x+1/2,y+1/2,z+1/2'
'-x+1/2,-y+1/2,z+1/2'
'-x+1/2,y+1/2,z+1/2'
'x+1/2,-y+1/2,z+1/2'
loop_
_atom_site_label
_atom_site_fract_x
_atom_site_fract_y
_atom_site_fract_z
Np1 0.000 0.240 0.000
U1 0.000 0.000 0.746
U2 0.000 0.500 0.800
S1 0.000 0.000 0.072
S2 0.000 0.110 0.473
S3 0.000 0.316 0.699
S4 0.000 0.365 0.307
```

Peak list (12 most intense, 2θ = 10–80°, by angle)
- 2θ = 24.57°, d = 3.623 Å, rel. 100
- 2θ = 25.16°, d = 3.539 Å, rel. 54
- 2θ = 25.73°, d = 3.462 Å, rel. 45
- 2θ = 28.32°, d = 3.151 Å, rel. 62
- 2θ = 36.30°, d = 2.475 Å, rel. 74
- 2θ = 39.33°, d = 2.291 Å, rel. 15
- 2θ = 41.52°, d = 2.175 Å, rel. 48
- 2θ = 44.67°, d = 2.029 Å, rel. 31
- 2θ = 46.67°, d = 1.946 Å, rel. 19
- 2θ = 47.00°, d = 1.933 Å, rel. 18
- 2θ = 53.44°, d = 1.714 Å, rel. 26
- 2θ = 66.58°, d = 1.404 Å, rel. 19

***

TbYNp: simulated powder diffraction line list (a wavelength of 1.5418 Å), based on a DFT-relaxed cell (PBE, OQMD).
Neutral-atom scattering factors, no anomalous dispersion.

Structural model:
```
data_TbYNp
_chemical_formula_sum 'Tb4 Y4 Np4'
_cell_length_a 7.595
_cell_length_b 7.595
_cell_length_c 7.595
_cell_angle_alpha 90.00
_cell_angle_beta 90.00
_cell_angle_gamma 90.00
_space_group_name_H-M_alt 'F -4 3 m'
_space_group_IT_number 216
_space_group_name_Hall 'F -4 2 3'
loop_
_atom_site_label
_atom_site_fract_x
_atom_site_fract_y
_atom_site_fract_z
Tb1 0.000 0.000 0.000
Y1 0.250 0.250 0.750
Np1 0.000 0.000 0.500
```

Peak list (12 most intense, 2θ = 10–80°, by angle)
- 2θ = 20.25°, d = 4.385 Å, rel. 14
- 2θ = 23.43°, d = 3.797 Å, rel. 46
- 2θ = 33.37°, d = 2.685 Å, rel. 100
- 2θ = 39.35°, d = 2.290 Å, rel. 8
- 2θ = 41.17°, d = 2.192 Å, rel. 15
- 2θ = 47.91°, d = 1.899 Å, rel. 18
- 2θ = 52.52°, d = 1.742 Å, rel. 3
- 2θ = 54.00°, d = 1.698 Å, rel. 21
- 2θ = 59.64°, d = 1.550 Å, rel. 38
- 2θ = 70.09°, d = 1.343 Å, rel. 12
- 2θ = 75.04°, d = 1.266 Å, rel. 10
- 2θ = 79.88°, d = 1.201 Å, rel. 17

***

NpTe2: simulated powder diffraction line list (a wavelength of 1.5418 Å), based on a DFT-relaxed cell (PBE, OQMD).
Neutral-atom scattering factors, no anomalous dispersion.

Structural model:
```
data_NpTe2
_chemical_formula_sum 'Np4 Te8'
_cell_length_a 4.349
_cell_length_b 7.576
_cell_length_c 14.314
_cell_angle_alpha 90.00
_cell_angle_beta 90.00
_cell_angle_gamma 90.00
_space_group_name_H-M_alt 'P m n 21'
_space_group_IT_number 31
loop_
_space_group_symop_operation_xyz
'x,y,z'
'-x+1/2,-y,z+1/2'
'-x,y,z'
'x+1/2,-y,z+1/2'
loop_
_atom_site_label
_atom_site_fract_x
_atom_site_fract_y
_atom_site_fract_z
Np1 0.000 0.029 0.000
Np2 0.000 0.470 0.496
Te1 0.000 0.142 0.619
Te2 0.000 0.364 0.116
Te3 0.000 0.701 0.878
Te4 0.000 0.806 0.380
```

Peak list (12 most intense, 2θ = 10–80°, by angle)
- 2θ = 12.37°, d = 7.157 Å, rel. 100
- 2θ = 24.37°, d = 3.652 Å, rel. 42
- 2θ = 26.68°, d = 3.341 Å, rel. 81
- 2θ = 30.19°, d = 2.960 Å, rel. 91
- 2θ = 34.48°, d = 2.601 Å, rel. 36
- 2θ = 39.51°, d = 2.281 Å, rel. 48
- 2θ = 41.34°, d = 2.184 Å, rel. 11
- 2θ = 41.53°, d = 2.175 Å, rel. 20
- 2θ = 41.84°, d = 2.159 Å, rel. 42
- 2θ = 44.96°, d = 2.016 Å, rel. 13
- 2θ = 51.04°, d = 1.789 Å, rel. 11
- 2θ = 55.04°, d = 1.668 Å, rel. 17